1.
For V6GaSb, a crystal structure in Alexandria, relaxed with PBE gives the computed powder X-ray diffraction pattern in this record (Cu Kα (λ = 1.5418 Å)).
No peak broadening, texture or thermal motion is included.

Largest 8 diffraction maxima, in order of rising 2θ, 10 to 80 degrees two-theta:
2θ/deg, I/Imax
27.3, 15
36.5, 8
39.9, 21
41.4, 30
42.1, 100
45.1, 14
58.8, 13
75.9, 16

Cell and atoms:
```
16
Lattice="4.366 0.000 0.000 0.000 5.879 0.000 0.000 0.000 9.047" Properties=species:S:1:pos:R:3 pbc="T T T"
V 0.000 0.000 0.000
V 0.000 1.361 2.070
V 0.000 1.578 6.593
V 0.000 2.939 4.523
V 0.000 4.300 6.593
V 0.000 4.518 2.070
V 2.183 0.000 2.374
V 2.183 1.455 4.816
V 2.183 1.484 0.292
V 2.183 2.939 6.898
V 2.183 4.394 0.292
V 2.183 4.424 4.816
Ga 0.000 0.000 4.311
Ga 0.000 2.939 8.834
Sb 2.183 0.000 7.123
Sb 2.183 2.939 2.600
```


2.
For TbSI, a crystal structure in Alexandria, relaxed with PBE gives the computed powder X-ray diffraction pattern in this record (Cu Kα (λ = 1.5418 Å)).
No peak broadening, texture or thermal motion is included.

Largest 8 diffraction maxima, in order of rising 2θ, 10 to 80 degrees two-theta:
2θ/deg, I/Imax
12.0, 100
24.4, 18
25.2, 24
28.3, 82
31.1, 32
36.3, 20
42.3, 29
42.8, 20

Cell and atoms:
```
12
Lattice="15.403 0.000 0.000 0.000 4.220 0.000 -2.157 0.000 7.079" Properties=species:S:1:pos:R:3 pbc="T T T"
Tb 3.183 0.000 1.999
Tb 2.361 2.110 5.080
Tb 10.885 2.110 1.999
Tb 10.062 0.000 5.080
S 1.657 2.110 2.520
S 3.887 0.000 4.560
S 9.358 0.000 2.520
S 11.588 2.110 4.560
I 0.117 0.000 5.988
I 5.427 2.110 1.091
I 7.818 2.110 5.988
I 13.128 0.000 1.091
```


3.
For U2ZnNi4Ge3, a crystal structure in Alexandria, relaxed with PBE gives the computed powder X-ray diffraction pattern in this record (Cu Kα (λ = 1.5418 Å)).
No peak broadening, texture or thermal motion is included.

Largest 8 diffraction maxima, in order of rising 2θ, 10 to 80 degrees two-theta:
2θ/deg, I/Imax
24.1, 28
31.8, 26
35.0, 73
36.6, 100
45.6, 47
50.9, 33
58.8, 33
70.8, 25

Cell and atoms:
```
10
Lattice="3.978 0.000 0.000 0.000 3.978 0.000 0.000 0.000 10.039" Properties=species:S:1:pos:R:3 pbc="T T T"
U 0.000 1.989 2.492
U 1.989 0.000 7.546
Zn 0.000 0.000 5.019
Ni 0.000 0.000 0.000
Ni 0.000 1.989 6.420
Ni 1.989 0.000 3.618
Ni 1.989 1.989 0.000
Ge 0.000 1.989 8.738
Ge 1.989 0.000 1.301
Ge 1.989 1.989 5.019
```


4.
For Pm2In2Pt15, a crystal structure in Alexandria, relaxed with PBE gives the computed powder X-ray diffraction pattern in this record (Cu Kα (λ = 1.5418 Å)).
No peak broadening, texture or thermal motion is included.

Largest 8 diffraction maxima, in order of rising 2θ, 10 to 80 degrees two-theta:
2θ/deg, I/Imax
18.9, 32
33.0, 25
38.3, 42
38.7, 100
40.0, 39
43.4, 91
62.8, 23
69.3, 28

Cell and atoms:
```
19
Lattice="4.699 2.713 4.512 -4.699 2.713 4.512 0.000 -5.426 4.512" Properties=species:S:1:pos:R:3 pbc="T T T"
Pm 0.000 0.000 1.960
Pm 0.000 0.000 11.576
In 0.000 0.000 5.351
In 0.000 0.000 8.185
Pt -2.350 -1.356 4.512
Pt 0.000 -2.753 4.424
Pt -2.385 1.377 4.424
Pt -1.507 -2.610 6.768
Pt -3.014 0.000 6.768
Pt -2.385 -1.377 9.112
Pt -2.350 1.356 9.024
Pt 1.507 -2.610 6.768
Pt 0.000 2.713 4.512
Pt -1.507 2.610 6.768
Pt 2.385 1.377 4.424
Pt 3.014 0.000 6.768
Pt 1.507 2.610 6.768
Pt 2.385 -1.377 9.112
Pt 0.000 2.753 9.112
```


5.
For EuC2S2N2, a crystal structure in Alexandria, relaxed with PBE gives the computed powder X-ray diffraction pattern in this record (Cu Kα (λ = 1.5418 Å)).
No peak broadening, texture or thermal motion is included.

Largest 8 diffraction maxima, in order of rising 2θ, 10 to 80 degrees two-theta:
2θ/deg, I/Imax
16.1, 100
17.6, 57
21.9, 67
27.2, 96
29.9, 84
34.4, 46
37.2, 46
43.8, 46

Cell and atoms:
```
14
Lattice="5.043 -3.280 0.000 5.043 3.280 0.000 -0.108 0.000 8.110" Properties=species:S:1:pos:R:3 pbc="T T T"
Eu 4.962 2.674 6.083
Eu 5.016 -2.674 2.028
C 3.803 0.918 3.211
C 6.228 0.918 0.844
C 3.749 -0.918 7.266
C 6.174 -0.918 4.899
S 2.925 0.348 6.677
S 2.979 -0.348 2.622
S 6.998 0.348 5.488
S 7.052 -0.348 1.433
N 4.393 1.867 3.631
N 5.638 1.867 0.424
N 4.339 -1.867 7.686
N 5.584 -1.867 4.479
```


6.
For Nb6B2C, a crystal structure in Alexandria, relaxed with PBE gives the computed powder X-ray diffraction pattern in this record (Cu Kα (λ = 1.5418 Å)).
No peak broadening, texture or thermal motion is included.

Largest 8 diffraction maxima, in order of rising 2θ, 10 to 80 degrees two-theta:
2θ/deg, I/Imax
34.1, 45
36.5, 100
38.3, 28
49.0, 14
59.8, 17
62.6, 18
67.1, 12
70.7, 11

Cell and atoms:
```
18
Lattice="5.253 0.000 0.000 0.000 5.253 0.000 0.000 0.000 9.876" Properties=species:S:1:pos:R:3 pbc="T T T"
Nb 1.064 1.064 1.618
Nb 1.064 1.064 8.258
Nb 1.096 1.096 4.938
Nb 1.531 3.722 0.000
Nb 1.563 3.690 3.320
Nb 1.563 3.690 6.556
Nb 3.690 1.563 3.320
Nb 3.690 1.563 6.556
Nb 3.722 1.531 0.000
Nb 4.158 4.158 4.938
Nb 4.190 4.190 1.618
Nb 4.190 4.190 8.258
B 0.000 0.000 3.294
B 0.000 0.000 6.582
B 2.627 2.627 1.644
B 2.627 2.627 8.233
C 0.000 0.000 0.000
C 2.627 2.627 4.938
```


7.
For Co5Ni6, a crystal structure in Alexandria, relaxed with PBE gives the computed powder X-ray diffraction pattern in this record (Cu Kα (λ = 1.5418 Å)).
No peak broadening, texture or thermal motion is included.

Largest 8 diffraction maxima, in order of rising 2θ, 10 to 80 degrees two-theta:
2θ/deg, I/Imax
10.9, 7
22.0, 3
24.4, 3
44.8, 34
45.2, 100
52.5, 62
77.2, 18
77.8, 18

Cell and atoms:
```
11
Lattice="2.127 -3.683 0.000 2.127 3.683 0.000 -1.414 0.000 8.093" Properties=species:S:1:pos:R:3 pbc="T T T"
Co 0.000 0.000 0.000
Co 1.420 2.454 4.047
Co 2.127 1.232 0.000
Co 2.127 -1.232 0.000
Co 1.420 -2.454 4.047
Ni 0.710 1.226 2.046
Ni 0.006 0.000 6.048
Ni 0.710 -1.226 2.046
Ni 2.131 1.226 6.047
Ni 2.835 0.000 2.045
Ni 2.131 -1.226 6.047
```


8.
For RbAgSe2, a crystal structure in Alexandria, relaxed with PBE gives the computed powder X-ray diffraction pattern in this record (Cu Kα (λ = 1.5418 Å)).
No peak broadening, texture or thermal motion is included.

Largest 8 diffraction maxima, in order of rising 2θ, 10 to 80 degrees two-theta:
2θ/deg, I/Imax
18.4, 82
26.3, 31
26.5, 64
26.7, 100
31.0, 53
36.3, 94
48.3, 30
52.3, 32

Cell and atoms:
```
16
Lattice="6.992 0.000 0.000 0.000 6.992 0.000 -3.388 0.000 11.540" Properties=species:S:1:pos:R:3 pbc="T T T"
Rb 0.000 0.874 0.000
Rb -1.694 6.118 5.770
Rb 1.802 2.622 5.770
Rb 3.496 4.370 0.000
Ag -1.674 2.621 8.138
Ag 0.020 4.371 2.368
Ag 3.516 0.875 2.368
Ag 1.822 6.117 8.138
Se 0.071 0.874 8.720
Se 1.765 6.119 2.950
Se 0.105 0.875 11.182
Se 1.799 6.117 5.412
Se 5.261 2.623 2.950
Se 3.567 4.370 8.720
Se 5.295 2.621 5.412
Se 3.601 4.371 11.182
```